LiMnPO4: simulated X-ray powder pattern (Cu Kα (λ = 1.5418 Å)), based on the GGA+U geometry in Alexandria.

Top 6 peaks for 2θ = 5–70°, sorted by position:
20.7 deg, 4.296 Å, intensity 25
23.7 deg, 3.748 Å, intensity 36
25.4 deg, 3.503 Å, intensity 26
30.9 deg, 2.892 Å, intensity 25
31.3 deg, 2.860 Å, intensity 100
36.2 deg, 2.484 Å, intensity 18

Atomic structure:
```
LiMnPO4
1.0
7.6678 0.0000 0.0000
0.0000 7.8764 0.0000
0.0000 0.0000 5.1257
Li Mn P O
4 4 4 16
Cartesian
1.4779 0.4353 0.0000
2.3560 4.3736 2.5629
5.3118 3.5029 0.0000
6.1898 7.4411 2.5629
0.0810 2.4181 2.3926
3.7528 6.3564 4.9554
3.9149 1.5201 2.3926
7.5867 5.4583 4.9554
1.6415 7.1740 2.5894
2.1924 3.2358 0.0265
5.4754 4.6406 2.5894
6.0262 0.7024 0.0265
0.4517 0.2753 2.4823
1.0625 3.9119 0.8868
1.2716 5.8634 3.3366
1.6960 2.8684 3.7273
2.1379 6.8066 1.1644
2.5623 1.9252 0.7737
2.7714 7.8501 3.4497
3.3822 4.2135 5.0451
4.2856 3.6629 2.4823
4.8964 0.0263 0.8868
5.1055 5.9512 3.3366
5.5299 1.0698 3.7273
5.9718 5.0080 1.1644
6.3961 2.0130 0.7737
6.6053 3.9645 3.4497
7.2160 7.6011 5.0451
```